For MnAl2P2H18O18, a DFT-relaxed cell (GGA+U, Alexandria) gives the simulated powder diffractogram in this record (Cu Ka).
Peak positions follow from Bragg's law for the DFT cell and can differ from measured ones.

a = 5.2682 Å, b = 6.9963 Å, c = 10.4779 Å
α = 95.93°, β = 101.66°, γ = 110.04°
Atoms (fractional coordinates):
Mn: 0.0000 0.0000 0.0000
Al: 0.5000 0.0000 0.5000
Al: 0.5000 0.5000 0.5000
P: 0.0106 0.9172 0.6631
P: 0.9894 0.0828 0.3369
H: 0.0881 0.5720 0.2600
H: 0.0945 0.6572 0.8133
H: 0.1685 0.6747 0.5136
H: 0.1855 0.4043 0.9430
H: 0.3040 0.9407 0.2102
H: 0.3134 0.4896 0.7195
H: 0.3201 0.4230 0.0950
H: 0.3838 0.2945 0.6680
H: 0.4602 0.0062 0.8668
H: 0.5398 0.9938 0.1332
H: 0.6162 0.7055 0.3320
H: 0.6799 0.5770 0.9050
H: 0.6866 0.5104 0.2805
H: 0.6960 0.0593 0.7898
H: 0.8145 0.5957 0.0570
H: 0.8315 0.3253 0.4864
H: 0.9055 0.3428 0.1867
H: 0.9119 0.4280 0.7400
O: 0.0908 0.5115 0.8032
O: 0.0970 0.8993 0.8111
O: 0.1272 0.3016 0.4258
O: 0.1926 0.9647 0.3510
O: 0.2519 0.3290 0.0094
O: 0.2803 0.0412 0.6220
O: 0.3337 0.9321 0.1190
O: 0.3555 0.7103 0.4969
O: 0.4522 0.4507 0.6793
O: 0.5478 0.5493 0.3207
O: 0.6445 0.2898 0.5031
O: 0.6663 0.0679 0.8810
O: 0.7197 0.9588 0.3780
O: 0.7481 0.6710 0.9906
O: 0.8074 0.0353 0.6490
O: 0.8728 0.6984 0.5742
O: 0.9030 0.1007 0.1889
O: 0.9092 0.4885 0.1968

Principal peaks in the range 10° ≤ 2θ ≤ 90°, sorted by position:
(0 1 0), 13.72 deg, rel. 100; (0 0 2), 17.60 deg, rel. 25; (1 0 -1), 18.39 deg, rel. 21; (1 -1 0), 18.51 deg, rel. 67; (1 0 1), 22.50 deg, rel. 24; (0 2 0), 27.63 deg, rel. 62; (1 0 -3), 28.29 deg, rel. 52; (-1 1 3), 30.69 deg, rel. 51; (1 -1 3), 34.31 deg, rel. 46; (-2 1 2), 35.78 deg, rel. 23